# YIn5Rh
Computed powder X-ray diffraction pattern, Cu Kα, 1.54184 Å. Input: a DFT-relaxed cell (GGA-PBE, the Materials Project).

Cell: 4.679 4.679 7.503 Å, 90.00 90.00 90.00°
Space group P4/mmm (No. 123)
Asymmetric unit:
Y 0.000 0.000 0.000 (multiplicity 1)
In 0.000 0.500 0.301 (multiplicity 4)
In 0.500 0.500 0.000 (multiplicity 1)
Rh 0.000 0.000 0.500 (multiplicity 1)

Main lines, by intensity (2θ = 10–80°):
- 2.481 Å, I 100, (1 1 2)
- 2.339 Å, I 54, (2 0 0)
- 1.376 Å, I 30, (3 1 2)
- 3.027 Å, I 23, (1 1 1)
- 1.654 Å, I 18, (2 2 0)
- 1.709 Å, I 15, (2 0 3)
- 2.501 Å, I 13, (0 0 3)
- 3.970 Å, I 13, (1 0 1)

=====

# Zr5In4Rh2
Computed powder X-ray diffraction pattern, Cu Kα, 1.54184 Å. Input: a DFT-relaxed cell (GGA-PBE, the Materials Project).

Cell: 7.688 17.624 3.417 Å, 90.00 90.00 90.00°
Space group Pbam (No. 55)
Asymmetric unit:
Zr 0.000 0.000 0.000 (multiplicity 2)
Zr 0.136 0.420 0.000 (multiplicity 4)
Zr 0.242 0.721 0.000 (multiplicity 4)
In 0.064 0.850 0.500 (multiplicity 4)
In 0.200 0.568 0.500 (multiplicity 4)
Rh 0.048 0.307 0.500 (multiplicity 4)

Main lines, by intensity (2θ = 10–80°):
- 2.548 Å, I 100, (1 4 1)
- 2.453 Å, I 74, (2 2 1)
- 2.340 Å, I 64, (2 3 1)
- 2.393 Å, I 41, (1 7 0)
- 2.461 Å, I 39, (3 2 0)
- 2.334 Å, I 36, (2 6 0)
- 1.708 Å, I 25, (0 0 2)
- 2.536 Å, I 22, (3 1 0)

=====

# ZrInRh2
Computed powder X-ray diffraction pattern, Cu Kα, 1.54184 Å. Input: a DFT-relaxed cell (GGA-PBE, the Materials Project).

Cell: 6.525 6.525 6.525 Å, 90.00 90.00 90.00°
Space group Fm-3m (No. 225)
Asymmetric unit:
Zr 0.000 0.000 0.000 (multiplicity 4)
In 0.000 0.000 0.500 (multiplicity 4)
Rh 0.250 0.250 0.250 (multiplicity 8)

Main lines, by intensity (2θ = 10–80°):
- 2.307 Å, I 100, (2 2 0)
- 1.332 Å, I 33, (4 2 2)
- 1.631 Å, I 17, (4 0 0)
- 3.767 Å, I 1, (1 1 1)

=====

# InRu3
Computed powder X-ray diffraction pattern, Cu Kα, 1.54184 Å. Input: a DFT-relaxed cell (GGA-PBE, the Materials Project).

Cell: 5.6282 5.6282 4.5330 Å, 90.00 90.00 120.00°
Space group P6_3/mmc (No. 194)
Asymmetric unit:
In 0.3333 0.6667 0.2500 (multiplicity 2)
Ru 0.1652 0.3305 0.7500 (multiplicity 6)

Main lines, by intensity (2θ = 10–80°):
- 2.147 Å, I 100, (2 0 1)
- 2.267 Å, I 26, (0 0 2)
- 2.437 Å, I 24, (2 0 0)
- 1.284 Å, I 18, (2 0 3)
- 1.407 Å, I 17, (2 2 0)
- 1.660 Å, I 15, (2 0 2)
- 1.219 Å, I 3, (4 0 0)

=====

# ThInRu2
Computed powder X-ray diffraction pattern, Cu Kα, 1.54184 Å. Input: a DFT-relaxed cell (GGA-PBE, the Materials Project).

Cell: 6.798 6.798 6.798 Å, 90.00 90.00 90.00°
Space group Fm-3m (No. 225)
Asymmetric unit:
Th 0.000 0.000 0.000 (multiplicity 4)
In 0.000 0.000 0.500 (multiplicity 4)
Ru 0.250 0.250 0.250 (multiplicity 8)

Main lines, by intensity (2θ = 10–80°):
- 2.404 Å, I 100, (2 2 0)
- 1.388 Å, I 35, (4 2 2)
- 1.700 Å, I 17, (4 0 0)
- 1.202 Å, I 11, (4 4 0)
- 3.925 Å, I 9, (1 1 1)
- 3.399 Å, I 7, (2 0 0)
- 2.050 Å, I 5, (3 1 1)
- 1.520 Å, I 3, (4 2 0)

=====

# In2S3
Computed powder X-ray diffraction pattern, Cu Kα, 1.54184 Å. Input: a DFT-relaxed cell (GGA-PBE, the Materials Project).

Cell: 3.985 12.146 5.879 Å, 90.00 90.00 90.00°
Space group Imm2 (No. 44)
Asymmetric unit:
In 0.000 0.159 0.000 (multiplicity 4)
S 0.000 0.000 0.755 (multiplicity 2)
S 0.000 0.335 0.767 (multiplicity 4)

Main lines, by intensity (2θ = 10–80°):
- 3.299 Å, I 100, (1 0 1)
- 3.335 Å, I 90, (0 3 1)
- 2.043 Å, I 79, (1 3 2)
- 5.292 Å, I 69, (0 1 1)
- 3.787 Å, I 32, (1 1 0)
- 6.073 Å, I 29, (0 2 0)
- 1.725 Å, I 27, (1 6 1)
- 1.710 Å, I 25, (2 3 1)

=====

# In11S16
Computed powder X-ray diffraction pattern, Cu Kα, 1.54184 Å. Input: a DFT-relaxed cell (GGA-PBE, the Materials Project).

Cell: 7.796 7.796 11.035 Å, 90.00 90.00 90.00°
Space group P-4m2 (No. 115)
Asymmetric unit:
In 0.000 0.000 0.000 (multiplicity 1)
In 0.000 0.266 0.624 (multiplicity 4)
In 0.000 0.500 0.254 (multiplicity 2)
In 0.251 0.500 0.868 (multiplicity 4)
S 0.000 0.225 0.382 (multiplicity 4)
S 0.000 0.264 0.871 (multiplicity 4)
S 0.235 0.500 0.638 (multiplicity 4)
S 0.266 0.500 0.111 (multiplicity 4)

Main lines, by intensity (2θ = 10–80°):
- 3.325 Å, I 100, (2 1 1)
- 1.949 Å, I 68, (4 0 0)
- 2.122 Å, I 46, (3 2 1)
- 2.757 Å, I 37, (2 2 0)
- 6.367 Å, I 24, (1 0 1)
- 1.436 Å, I 21, (5 0 3)
- 3.899 Å, I 20, (2 0 0)
- 1.682 Å, I 13, (3 0 5)

=====

# In2S3
Computed powder X-ray diffraction pattern, Cu Kα, 1.54184 Å. Input: a DFT-relaxed cell (GGA-PBE, the Materials Project).

Cell: 6.6622 6.6622 17.9199 Å, 90.00 90.00 120.00°
Space group R-3c (No. 167, hexagonal axes)
Asymmetric unit:
In 0.0000 0.0000 0.1456 (multiplicity 12)
S 0.0000 0.2987 0.2500 (multiplicity 18)

Main lines, by intensity (2θ = 10–80°):
- 3.539 Å, I 100, (1 0 4)
- 3.331 Å, I 82, (1 1 0)
- 2.224 Å, I 68, (1 1 6)
- 2.425 Å, I 51, (0 2 4)
- 1.923 Å, I 49, (3 0 0)
- 1.961 Å, I 48, (2 1 4)
- 4.851 Å, I 33, (0 1 2)
- 2.909 Å, I 23, (1 1 3)

=====

# In2S3
Computed powder X-ray diffraction pattern, Cu Kα, 1.54184 Å. Input: a DFT-relaxed cell (GGA-PBE, the Materials Project).

Cell: 7.766 7.766 32.875 Å, 90.00 90.00 90.00°
Space group I4_1/amd (No. 141, origin choice 2)
Asymmetric unit:
In 0.000 0.000 0.000 (multiplicity 8)
In 0.000 0.018 0.668 (multiplicity 16)
In 0.000 0.250 0.205 (multiplicity 8)
S 0.000 0.008 0.749 (multiplicity 16)
S 0.000 0.013 0.078 (multiplicity 16)
S 0.000 0.023 0.413 (multiplicity 16)

Main lines, by intensity (2θ = 10–80°):
- 3.309 Å, I 100, (2 1 3)
- 1.940 Å, I 70, (4 0 0)
- 2.112 Å, I 45, (1 0 15)
- 2.744 Å, I 44, (0 0 12)
- 6.336 Å, I 30, (1 0 3)
- 3.880 Å, I 17, (2 0 0)
- 1.429 Å, I 17, (4 1 15)
- 1.674 Å, I 13, (3 0 15)

=====

# In3S
Computed powder X-ray diffraction pattern, Cu Kα, 1.54184 Å. Input: a DFT-relaxed cell (GGA-PBE, the Materials Project).

Cell: 4.729 4.729 4.729 Å, 90.00 90.00 90.00°
Space group Pm-3m (No. 221)
Asymmetric unit:
In 0.000 0.000 0.500 (multiplicity 3)
S 0.500 0.500 0.500 (multiplicity 1)

Main lines, by intensity (2θ = 10–80°):
- 2.730 Å, I 100, (1 1 1)
- 2.365 Å, I 50, (2 0 0)
- 1.426 Å, I 38, (3 1 1)
- 1.672 Å, I 33, (2 2 0)
- 4.729 Å, I 13, (1 0 0)
- 3.344 Å, I 12, (1 1 0)
- 1.365 Å, I 11, (2 2 2)
- 2.115 Å, I 7, (2 1 0)